# Cs2MnTcO6
Theoretical powder diffractogram, Cu Kα (λ = 1.5418 Å). Input: a cell relaxed with PBE+U.

Structural model:
Cell lengths 6.5394, 6.5394, 5.0247 Å; angles 90.00, 90.00, 120.00 degrees
Space group P-3m1 (No. 164)
Symmetry-distinct sites (fractional):
Cs (0.3333, 0.6667, 0.2363) (multiplicity 2)
Mn (0.0000, 0.0000, 0.0000) (multiplicity 1)
Tc (0.0000, 0.0000, 0.5000) (multiplicity 1)
O (0.1318, 0.2635, 0.7480) (multiplicity 6)

Principal peaks in the range 2θ = 10–80°, by angle:
- 23.67°, 3.759 Å, rel. 83, (1 0 1)
- 27.27°, 3.270 Å, rel. 100, (1 1 0)
- 36.42°, 2.467 Å, rel. 53, (0 2 1)
- 39.23°, 2.297 Å, rel. 29, (0 1 2)
- 46.09°, 1.969 Å, rel. 21, (2 1 1)
- 48.21°, 1.888 Å, rel. 18, (3 0 0)
- 48.44°, 1.879 Å, rel. 26, (2 0 2)
- 56.27°, 1.635 Å, rel. 17, (2 2 0)
- 56.48°, 1.629 Å, rel. 31, (1 2 2)
- 61.89°, 1.499 Å, rel. 15, (1 3 1)